This entry pairs a crystal structure of TbSi2Tc4 with its calculated powder XRD pattern. Radiation: Cu Kα. Structure: a DFT-relaxed cell (GGA-PBE, Alexandria).

Cell and atoms:
Unit cell a=4.116 b=13.774 c=4.090 alpha=90.00 beta=90.00 gamma=90.00
Space group Cmmm (No. 65)
Inequivalent atoms, fractional coordinates:
Tb 0.000 0.000 0.000 [2 per cell]
Si 0.000 0.412 0.500 [4 per cell]
Tc 0.000 0.189 0.500 [4 per cell]
Tc 0.000 0.305 0.000 [4 per cell]

Peak list (6 most intense, 2θ from 15° to 90°, in order of rising 2θ)
2.453 Å, I 100, (1 3 1)
2.058 Å, I 22, (2 0 0)
2.045 Å, I 21, (0 0 2)
1.998 Å, I 20, (1 5 1)
1.628 Å, I 13, (1 7 1)
1.451 Å, I 14, (2 0 2)

---

This entry pairs a crystal structure of Tb2Si4Tc3 with its calculated powder XRD pattern. Radiation: Cu Kα. Structure: a DFT-relaxed cell (GGA-PBE, Alexandria).

Cell and atoms:
Unit cell a=6.786 b=6.799 c=6.808 alpha=90.00 beta=110.24 gamma=90.00
Space group P2_1/c (No. 14)
Inequivalent atoms, fractional coordinates:
Tb 0.191 0.167 0.057 [4 per cell]
Si 0.104 0.552 0.879 [4 per cell]
Si 0.487 0.642 0.631 [4 per cell]
Tc 0.241 0.650 0.258 [4 per cell]
Tc 0.500 0.000 0.500 [2 per cell]

Peak list (6 most intense, 2θ from 15° to 90°, in order of rising 2θ)
3.009 Å, I 42, (1 1 -2)
2.579 Å, I 45, (2 1 -2)
2.386 Å, I 100, (2 2 -1)
2.367 Å, I 88, (1 1 2)
2.152 Å, I 47, (1 1 -3)
2.136 Å, I 49, (0 3 1)

---

This entry pairs a crystal structure of Tb3ThSi4 with its calculated powder XRD pattern. Radiation: Cu Kα. Structure: a DFT-relaxed cell (GGA-PBE, Alexandria).

Cell and atoms:
Unit cell a=3.964 b=6.404 c=15.747 alpha=90.00 beta=90.00 gamma=90.00
Space group Immm (No. 71)
Inequivalent atoms, fractional coordinates:
Tb 0.000 0.000 0.000 [2 per cell]
Tb 0.000 0.500 0.194 [4 per cell]
Th 0.000 0.000 0.500 [2 per cell]
Si 0.000 0.318 0.367 [8 per cell]

Peak list (6 most intense, 2θ from 15° to 90°, in order of rising 2θ)
3.202 Å, I 26, (0 2 0)
3.098 Å, I 100, (1 1 2)
2.560 Å, I 21, (1 1 4)
2.484 Å, I 18, (0 2 4)
1.828 Å, I 21, (1 3 2)
1.700 Å, I 18, (1 1 8)

---

This entry pairs a crystal structure of Tb2Ti3Si4 with its calculated powder XRD pattern. Radiation: Cu Kα. Structure: a DFT-relaxed cell (GGA-PBE, Alexandria).

Cell and atoms:
Unit cell a=7.068 b=7.053 c=6.872 alpha=90.00 beta=108.88 gamma=90.00
Space group P2_1/c (No. 14)
Inequivalent atoms, fractional coordinates:
Tb 0.189 0.168 0.067 [4 per cell]
Ti 0.257 0.676 0.250 [4 per cell]
Ti 0.500 0.000 0.500 [2 per cell]
Si 0.086 0.540 0.872 [4 per cell]
Si 0.497 0.125 0.869 [4 per cell]

Peak list (6 most intense, 2θ from 15° to 90°, in order of rising 2θ)
4.853 Å, I 68, (1 1 0)
2.660 Å, I 55, (1 2 1)
2.630 Å, I 53, (2 1 -2)
2.473 Å, I 100, (2 2 -1)
2.447 Å, I 95, (1 1 2)
2.211 Å, I 55, (0 3 1)